1.
For Li7Mn3W2O16, a structure optimized by DFT (PBE+U) gives the calculated powder diffraction line list in this record (Cu Ka).
Kinematic intensities with the Lorentz-polarization factor, no thermal factor.

Structure:
```
data_Li7Mn3W2O16
_chemical_formula_sum 'Li7 Mn3 W2 O16'
_cell_length_a 5.9076
_cell_length_b 5.9076
_cell_length_c 9.6518
_cell_angle_alpha 90.17
_cell_angle_beta 90.17
_cell_angle_gamma 59.49
_space_group_name_H-M_alt 'P 1'
_space_group_IT_number 1
_space_group_name_Hall 'P 1'
loop_
_atom_site_label
_atom_site_type_symbol
_atom_site_fract_x
_atom_site_fract_y
_atom_site_fract_z
Li1 Li 0.0000 0.0000 0.0000
Li2 Li 0.3389 0.8472 0.3043
Li3 Li 0.3401 0.3401 0.5053
Li4 Li 0.5033 0.5033 0.8120
Li5 Li 0.6757 0.6757 0.5810
Li6 Li 0.6809 0.6809 0.0945
Li7 Li 0.8472 0.3389 0.3043
Mn1 Mn 0.0138 0.5106 0.8134
Mn2 Mn 0.5106 0.0138 0.8134
Mn3 Mn 0.8528 0.8528 0.3297
W1 W 0.0271 0.0271 0.5818
W2 W 0.3453 0.3453 0.0892
O1 O 0.0246 0.5022 0.1855
O2 O 0.1359 0.7125 0.4525
O3 O 0.1567 0.1567 0.4532
O4 O 0.1725 0.6305 0.9391
O5 O 0.1905 0.1905 0.9300
O6 O 0.3291 0.3291 0.7089
O7 O 0.3363 0.8459 0.6870
O8 O 0.5022 0.0246 0.1855
O9 O 0.5048 0.5048 0.1702
O10 O 0.6305 0.1725 0.9391
O11 O 0.6809 0.6809 0.9021
O12 O 0.6905 0.6905 0.3891
O13 O 0.7125 0.1359 0.4525
O14 O 0.8391 0.8391 0.7001
O15 O 0.8459 0.3363 0.6870
O16 O 0.9816 0.9816 0.2089
```

Most intense lines, 2θ = 10–80°, in order of rising 2θ:
2θ (°)  intensity
17.42  19
19.58  60
19.72  100
25.43  30
30.26  17
32.87  17
32.94  30
35.64  37
35.85  18
45.43  18

---

2.
For Li4Mn3Nb2V3O16, a structure optimized by DFT (PBE+U) gives the calculated powder diffraction line list in this record (Cu Ka).
Kinematic intensities with the Lorentz-polarization factor, no thermal factor.

Structure:
```
data_Li4Mn3Nb2V3O16
_chemical_formula_sum 'Li4 Mn3 Nb2 V3 O16'
_cell_length_a 5.9211
_cell_length_b 6.0931
_cell_length_c 9.8042
_cell_angle_alpha 87.78
_cell_angle_beta 90.00
_cell_angle_gamma 61.06
_space_group_name_H-M_alt 'P 1'
_space_group_IT_number 1
_space_group_name_Hall 'P 1'
loop_
_atom_site_label
_atom_site_type_symbol
_atom_site_fract_x
_atom_site_fract_y
_atom_site_fract_z
Li1 Li 0.0000 0.0000 0.0000
Li2 Li 0.0054 0.9911 0.4986
Li3 Li 0.3445 0.3055 0.5891
Li4 Li 0.6709 0.6518 0.0871
Mn1 Mn 0.1710 0.6565 0.2789
Mn2 Mn 0.3432 0.8196 0.7744
Mn3 Mn 0.8350 0.8189 0.7741
Nb1 Nb 0.3354 0.3306 0.9950
Nb2 Nb 0.6802 0.6375 0.4943
V1 V 0.1796 0.1659 0.2684
V2 V 0.6580 0.1650 0.2743
V3 V 0.8332 0.3323 0.7705
O1 O 0.0000 0.0159 0.1876
O2 O 0.0019 0.9938 0.6862
O3 O 0.0427 0.4561 0.1429
O4 O 0.1584 0.1798 0.8991
O5 O 0.1624 0.6719 0.8986
O6 O 0.3354 0.2942 0.3832
O7 O 0.3415 0.8344 0.4019
O8 O 0.4747 0.0290 0.1450
O9 O 0.4937 0.4575 0.1434
O10 O 0.5277 0.9418 0.6527
O11 O 0.5317 0.4930 0.6381
O12 O 0.6612 0.1771 0.8999
O13 O 0.6718 0.6532 0.8749
O14 O 0.8234 0.8366 0.4021
O15 O 0.8386 0.3280 0.3904
O16 O 0.9722 0.4945 0.6393
```

Most intense lines, 2θ = 10–80°, in order of rising 2θ:
2θ (°)  intensity
18.61  50
19.22  100
19.32  51
19.57  95
32.10  44
32.76  54
34.07  48
35.30  67
35.43  44
59.83  46

---

3.
For VP4O12, a structure optimized by DFT (PBE+U) gives the calculated powder diffraction line list in this record (Cu Ka).
Kinematic intensities with the Lorentz-polarization factor, no thermal factor.

Structure:
```
data_VP4O12
_chemical_formula_sum 'V2 P8 O24'
_cell_length_a 8.3904
_cell_length_b 8.3904
_cell_length_c 7.7897
_cell_angle_alpha 97.90
_cell_angle_beta 97.90
_cell_angle_gamma 109.30
_space_group_name_H-M_alt 'P 1'
_space_group_IT_number 1
_space_group_name_Hall 'P 1'
loop_
_atom_site_label
_atom_site_type_symbol
_atom_site_fract_x
_atom_site_fract_y
_atom_site_fract_z
V1 V 0.1330 0.8670 0.7500
V2 V 0.8670 0.1330 0.2500
P1 P 0.0419 0.2056 0.6711
P2 P 0.2056 0.0419 0.1711
P3 P 0.2501 0.5746 0.8786
P4 P 0.4254 0.7499 0.6214
P5 P 0.5746 0.2501 0.3786
P6 P 0.7499 0.4254 0.1214
P7 P 0.7944 0.9581 0.8289
P8 P 0.9581 0.7944 0.3289
O1 O 0.0025 0.7475 0.5048
O2 O 0.0814 0.1385 0.1723
O3 O 0.1157 0.6544 0.8091
O4 O 0.1287 0.8713 0.2500
O5 O 0.1385 0.0814 0.6723
O6 O 0.1493 0.3696 0.8154
O7 O 0.2525 0.9975 0.9952
O8 O 0.3263 0.6163 0.0663
O9 O 0.3456 0.8843 0.6909
O10 O 0.3696 0.1493 0.3154
O11 O 0.3837 0.6737 0.4337
O12 O 0.3880 0.6120 0.7500
O13 O 0.6120 0.3880 0.2500
O14 O 0.6163 0.3263 0.5663
O15 O 0.6304 0.8507 0.6846
O16 O 0.6544 0.1157 0.3091
O17 O 0.6737 0.3837 0.9337
O18 O 0.7475 0.0025 0.0048
O19 O 0.8507 0.6304 0.1846
O20 O 0.8615 0.9186 0.3277
O21 O 0.8713 0.1287 0.7500
O22 O 0.8843 0.3456 0.1909
O23 O 0.9186 0.8615 0.8277
O24 O 0.9975 0.2525 0.4952
```

Most intense lines, 2θ = 10–80°, in order of rising 2θ:
2θ (°)  intensity
11.39  100
14.66  33
17.47  41
17.89  53
18.82  52
23.51  31
23.62  80
26.04  53
33.71  27
38.09  19

---

4.
For MgV2O4, a structure optimized by DFT (PBE+U) gives the calculated powder diffraction line list in this record (Cu Ka).
Kinematic intensities with the Lorentz-polarization factor, no thermal factor.

Structure:
```
data_MgV2O4
_chemical_formula_sum 'Mg8 V16 O32'
_cell_length_a 6.0539
_cell_length_b 6.0539
_cell_length_c 20.0355
_cell_angle_alpha 98.71
_cell_angle_beta 98.71
_cell_angle_gamma 60.14
_space_group_name_H-M_alt 'P 1'
_space_group_IT_number 1
_space_group_name_Hall 'P 1'
loop_
_atom_site_label
_atom_site_type_symbol
_atom_site_fract_x
_atom_site_fract_y
_atom_site_fract_z
Mg1 Mg 0.0000 0.0000 0.0000
Mg2 Mg 0.2515 0.2515 0.7499
Mg3 Mg 0.4720 0.4720 0.9061
Mg4 Mg 0.5009 0.5009 0.4986
Mg5 Mg 0.6248 0.6248 0.3735
Mg6 Mg 0.7214 0.7214 0.6549
Mg7 Mg 0.7496 0.7496 0.2490
Mg8 Mg 0.8749 0.8749 0.1246
V1 V 0.0013 0.4972 0.9994
V2 V 0.0284 0.0284 0.5941
V3 V 0.1235 0.1235 0.8766
V4 V 0.2218 0.2218 0.1575
V5 V 0.2498 0.7493 0.2489
V6 V 0.2518 0.7443 0.7495
V7 V 0.2776 0.2776 0.3415
V8 V 0.3754 0.3754 0.6266
V9 V 0.4972 0.0013 0.9994
V10 V 0.5001 0.9969 0.4990
V11 V 0.5261 0.5261 0.0908
V12 V 0.7443 0.2518 0.7495
V13 V 0.7493 0.2498 0.2489
V14 V 0.7778 0.7778 0.8435
V15 V 0.9720 0.9720 0.4063
V16 V 0.9969 0.5001 0.4990
O1 O 0.0549 0.0549 0.1897
O2 O 0.0566 0.5835 0.1896
O3 O 0.0620 0.0620 0.6924
O4 O 0.0918 0.5559 0.6887
O5 O 0.1672 0.6891 0.0586
O6 O 0.1874 0.1874 0.0587
O7 O 0.1914 0.6630 0.5607
O8 O 0.1948 0.1948 0.5607
O9 O 0.3023 0.3023 0.9409
O10 O 0.3043 0.8432 0.9387
O11 O 0.3121 0.3121 0.4421
O12 O 0.3311 0.8126 0.4398
O13 O 0.4118 0.9420 0.8106
O14 O 0.4377 0.4377 0.8053
O15 O 0.4421 0.9170 0.3092
O16 O 0.4442 0.4442 0.3091
O17 O 0.5532 0.5532 0.6894
O18 O 0.5559 0.0918 0.6887
O19 O 0.5581 0.5581 0.1919
O20 O 0.5835 0.0566 0.1896
O21 O 0.6630 0.1914 0.5607
O22 O 0.6878 0.6878 0.5536
O23 O 0.6891 0.1672 0.0586
O24 O 0.6929 0.6929 0.0575
O25 O 0.8068 0.8068 0.4394
O26 O 0.8116 0.8116 0.9413
O27 O 0.8126 0.3311 0.4398
O28 O 0.8432 0.3043 0.9387
O29 O 0.9170 0.4421 0.3092
O30 O 0.9411 0.9411 0.3061
O31 O 0.9420 0.4118 0.8106
O32 O 0.9435 0.9435 0.8100
```

Most intense lines, 2θ = 10–80°, in order of rising 2θ:
2θ (°)  intensity
17.96  16
29.52  26
29.55  12
34.75  100
34.83  14
42.24  32
55.77  20
55.87  22
61.10  10
61.29  40

---

5.
For LiMoPO5, a structure optimized by DFT (PBE+U) gives the calculated powder diffraction line list in this record (Cu Ka).
Kinematic intensities with the Lorentz-polarization factor, no thermal factor.

Structure:
```
data_LiMoPO5
_chemical_formula_sum 'Li4 Mo4 P4 O20'
_cell_length_a 7.1712
_cell_length_b 7.4415
_cell_length_c 8.0874
_cell_angle_alpha 89.90
_cell_angle_beta 87.91
_cell_angle_gamma 63.60
_space_group_name_H-M_alt 'P 1'
_space_group_IT_number 1
_space_group_name_Hall 'P 1'
loop_
_atom_site_label
_atom_site_type_symbol
_atom_site_fract_x
_atom_site_fract_y
_atom_site_fract_z
Li1 Li 0.1872 0.3152 0.4293
Li2 Li 0.3018 0.7854 0.0749
Li3 Li 0.6982 0.2146 0.9251
Li4 Li 0.8128 0.6848 0.5707
Mo1 Mo 0.2521 0.5002 0.7561
Mo2 Mo 0.2531 0.9969 0.7457
Mo3 Mo 0.7469 0.0031 0.2543
Mo4 Mo 0.7479 0.4998 0.2439
P1 P 0.2280 0.7394 0.4033
P2 P 0.2748 0.2460 0.0974
P3 P 0.7252 0.7540 0.9026
P4 P 0.7720 0.2606 0.5967
O1 O 0.0717 0.3976 0.1850
O2 O 0.0743 0.8568 0.2667
O3 O 0.1388 0.6199 0.5124
O4 O 0.2352 0.7747 0.8372
O5 O 0.2428 0.0829 0.9983
O6 O 0.2619 0.2301 0.6713
O7 O 0.2717 0.8873 0.5114
O8 O 0.3726 0.3507 0.9828
O9 O 0.4203 0.1470 0.2445
O10 O 0.4262 0.5972 0.3057
O11 O 0.5738 0.4028 0.6943
O12 O 0.5797 0.8530 0.7555
O13 O 0.6274 0.6493 0.0172
O14 O 0.7283 0.1127 0.4886
O15 O 0.7381 0.7699 0.3287
O16 O 0.7572 0.9171 0.0017
O17 O 0.7648 0.2253 0.1628
O18 O 0.8612 0.3801 0.4876
O19 O 0.9257 0.1432 0.7333
O20 O 0.9283 0.6024 0.8150
```

Most intense lines, 2θ = 10–80°, in order of rising 2θ:
2θ (°)  intensity
17.30  63
17.99  100
22.00  60
26.40  100
26.50  74
27.80  94
34.61  25
35.63  41
44.23  30
53.59  32

---

6.
For Li2MnH4S2O10, a structure optimized by DFT (PBE+U) gives the calculated powder diffraction line list in this record (Cu Ka).
Kinematic intensities with the Lorentz-polarization factor, no thermal factor.

Structure:
```
data_Li2MnH4S2O10
_chemical_formula_sum 'Li4 Mn2 H8 S4 O20'
_cell_length_a 5.5040
_cell_length_b 13.0732
_cell_length_c 5.4846
_cell_angle_alpha 90.00
_cell_angle_beta 100.79
_cell_angle_gamma 90.00
_space_group_name_H-M_alt 'P 1'
_space_group_IT_number 1
_space_group_name_Hall 'P 1'
loop_
_atom_site_label
_atom_site_type_symbol
_atom_site_fract_x
_atom_site_fract_y
_atom_site_fract_z
Li1 Li 0.0967 0.1131 0.2702
Li2 Li 0.0967 0.3869 0.7702
Li3 Li 0.9033 0.6131 0.2298
Li4 Li 0.9033 0.8869 0.7298
Mn1 Mn 0.5000 0.0000 0.0000
Mn2 Mn 0.5000 0.5000 0.5000
H1 H 0.1716 0.1566 0.8323
H2 H 0.1716 0.3434 0.3323
H3 H 0.3919 0.2067 0.0220
H4 H 0.3919 0.2933 0.5220
H5 H 0.6081 0.7067 0.4780
H6 H 0.6081 0.7933 0.9780
H7 H 0.8284 0.6566 0.6677
H8 H 0.8284 0.8434 0.1677
S1 S 0.2589 0.6163 0.9466
S2 S 0.2589 0.8837 0.4466
S3 S 0.7411 0.1163 0.5534
S4 S 0.7411 0.3837 0.0534
O1 O 0.0427 0.6867 0.9241
O2 O 0.0427 0.8133 0.4241
O3 O 0.2275 0.5498 0.7187
O4 O 0.2275 0.9502 0.2187
O5 O 0.2442 0.5492 0.1676
O6 O 0.2442 0.9508 0.6676
O7 O 0.2877 0.1439 0.9933
O8 O 0.2877 0.3561 0.4933
O9 O 0.4977 0.6699 0.9826
O10 O 0.4977 0.8301 0.4826
O11 O 0.5023 0.1699 0.5174
O12 O 0.5023 0.3301 0.0174
O13 O 0.7123 0.6439 0.5067
O14 O 0.7123 0.8561 0.0067
O15 O 0.7558 0.0492 0.3324
O16 O 0.7558 0.4508 0.8324
O17 O 0.7725 0.0498 0.7813
O18 O 0.7725 0.4502 0.2813
O19 O 0.9573 0.1867 0.5759
O20 O 0.9573 0.3133 0.0759
```

Most intense lines, 2θ = 10–80°, in order of rising 2θ:
2θ (°)  intensity
13.55  39
16.40  18
17.76  17
21.34  23
25.06  53
26.30  100
28.92  33
29.42  13
33.26  18
40.14  16

---

> Which formula does entry 6 have?

Li2MnH4S2O10